For TiTe2I2, a structure optimized by DFT (GGA-PBE) gives the simulated powder diffractogram in this record (Cu Kα, 1.54184 Å).
Neutral-atom scattering factors, no anomalous dispersion.

a = 7.357 Å, b = 13.016 Å, c = 8.233 Å
α = 90.00°, β = 108.01°, γ = 90.00°
Space group C2/m (No. 12)
Unique sites:
Ti 0.000 0.137 0.000
Te 0.089 0.000 0.296
Te 0.185 0.500 0.906
I 0.249 0.286 0.212

The 12 most intense peaks (10° ≤ 2θ ≤ 90°), most intense first:
2θ = 28.4°, I 1000; 2θ = 31.7°, I 894; 2θ = 11.3°, I 869; 2θ = 27.4°, I 445; 2θ = 51.2°, I 418; 2θ = 37.3°, I 350; 2θ = 22.7°, I 303; 2θ = 36.1°, I 302; 2θ = 25.0°, I 255; 2θ = 14.4°, I 251; 2θ = 25.5°, I 231; 2θ = 33.4°, I 227